Entry 1:
This entry pairs a crystal structure of Mg7CdHg4 with its theoretical powder diffraction line list. Radiation: Cu Kα (λ = 1.5418 Å). Structure: a structure optimized by DFT (GGA-PBE).
Neutral-atom scattering factors, no anomalous dispersion.

Structural model:
```
data_Mg7CdHg4
_symmetry_space_group_name_H-M 'C 1 2/m 1'
_symmetry_Int_Tables_number 12
_cell_length_a 13.660
_cell_length_b 5.166
_cell_length_c 10.264
_cell_angle_alpha 90.00
_cell_angle_beta 127.71
_cell_angle_gamma 90.00
loop_
_symmetry_equiv_pos_as_xyz
'x,y,z'
'-x,-y,-z'
'-x,y,-z'
'x,-y,z'
'x+1/2,y+1/2,z'
'-x+1/2,-y+1/2,-z'
'-x+1/2,y+1/2,-z'
'x+1/2,-y+1/2,z'
loop_
_atom_site_label
_atom_site_type_symbol
_atom_site_fract_x
_atom_site_fract_y
_atom_site_fract_z
Mg1 Mg 0.000 0.000 0.000
Mg2 Mg 0.069 0.500 0.330
Mg3 Mg 0.151 0.000 0.583
Mg4 Mg 0.216 0.500 0.872
Cd1 Cd 0.000 0.500 0.000
Hg1 Hg 0.074 0.000 0.781
Hg2 Hg 0.213 0.000 0.343
```

Peak list (10 most intense, 2θ = 10–90°, in order of rising 2θ)
19.04 deg, I 38
24.75 deg, I 26
25.00 deg, I 100
26.42 deg, I 56
29.10 deg, I 34
34.74 deg, I 53
36.54 deg, I 38
37.24 deg, I 52
38.06 deg, I 44
51.30 deg, I 29

Entry 2:
This entry pairs a crystal structure of Mg2Cd5Hg4 with its theoretical powder diffraction line list. Radiation: Cu Kα (λ = 1.5418 Å). Structure: a structure optimized by DFT (GGA-PBE).
Neutral-atom scattering factors, no anomalous dispersion.

Structural model:
```
data_Mg2Cd5Hg4
_symmetry_space_group_name_H-M 'I m m m'
_symmetry_Int_Tables_number 71
_symmetry_space_group_name_Hall '-I 2 2'
_cell_length_a 3.368
_cell_length_b 7.923
_cell_length_c 20.211
_cell_angle_alpha 90.00
_cell_angle_beta 90.00
_cell_angle_gamma 90.00
loop_
_atom_site_label
_atom_site_type_symbol
_atom_site_fract_x
_atom_site_fract_y
_atom_site_fract_z
Mg1 Mg 0.000 0.000 0.090
Cd1 Cd 0.000 0.196 0.352
Cd2 Cd 0.000 0.500 0.000
Hg1 Hg 0.000 0.000 0.229
Hg2 Hg 0.000 0.298 0.500
```

Peak list (10 most intense, 2θ = 10–90°, in order of rising 2θ)
17.55 deg, I 41
24.13 deg, I 46
30.16 deg, I 100
34.96 deg, I 55
35.26 deg, I 91
36.54 deg, I 67
41.18 deg, I 62
41.69 deg, I 40
47.29 deg, I 50
70.89 deg, I 36

Entry 3:
This entry pairs a crystal structure of MgCd2Hg4 with its theoretical powder diffraction line list. Radiation: Cu Kα (λ = 1.5418 Å). Structure: a structure optimized by DFT (GGA-PBE).
Neutral-atom scattering factors, no anomalous dispersion.

Structural model:
```
data_MgCd2Hg4
_symmetry_space_group_name_H-M 'I 4/m m m'
_symmetry_Int_Tables_number 139
_symmetry_space_group_name_Hall '-I 4 2'
_cell_length_a 5.513
_cell_length_b 5.513
_cell_length_c 14.435
_cell_angle_alpha 90.00
_cell_angle_beta 90.00
_cell_angle_gamma 90.00
loop_
_atom_site_label
_atom_site_type_symbol
_atom_site_fract_x
_atom_site_fract_y
_atom_site_fract_z
Mg1 Mg 0.000 0.000 0.000
Cd1 Cd 0.000 0.000 0.394
Hg1 Hg 0.000 0.000 0.195
Hg2 Hg 0.000 0.500 0.000
```

Peak list (10 most intense, 2θ = 10–90°, in order of rising 2θ)
24.56 deg, I 14
25.98 deg, I 100
32.48 deg, I 81
33.85 deg, I 33
35.09 deg, I 49
41.17 deg, I 15
46.59 deg, I 30
48.56 deg, I 39
54.12 deg, I 28
74.15 deg, I 20

Entry 4:
This entry pairs a crystal structure of Mg3Cd2Hg6 with its theoretical powder diffraction line list. Radiation: Cu Kα (λ = 1.5418 Å). Structure: a structure optimized by DFT (GGA-PBE).
Neutral-atom scattering factors, no anomalous dispersion.

Structural model:
```
data_Mg3Cd2Hg6
_symmetry_space_group_name_H-M 'R -3 m'
_symmetry_Int_Tables_number 166
_symmetry_space_group_name_Hall '-R 3 2"'
_cell_length_a 3.7281
_cell_length_b 3.7281
_cell_length_c 67.7645
_cell_angle_alpha 90.00
_cell_angle_beta 90.00
_cell_angle_gamma 120.00
loop_
_atom_site_label
_atom_site_type_symbol
_atom_site_fract_x
_atom_site_fract_y
_atom_site_fract_z
Mg1 Mg 0.0000 0.0000 0.0000
Mg2 Mg 0.0000 0.0000 0.2751
Cd1 Cd 0.0000 0.0000 0.4521
Hg1 Hg 0.0000 0.0000 0.0873
Hg2 Hg 0.0000 0.0000 0.1831
Hg3 Hg 0.0000 0.0000 0.3624
```

Peak list (10 most intense, 2θ = 10–90°, in order of rising 2θ)
23.63 deg, I 12
28.14 deg, I 15
29.16 deg, I 18
31.28 deg, I 100
40.47 deg, I 46
48.86 deg, I 30
59.17 deg, I 17
65.25 deg, I 11
67.91 deg, I 18
80.18 deg, I 14

Entry 5:
This entry pairs a crystal structure of Mg3Cd2Hg8 with its theoretical powder diffraction line list. Radiation: Cu Kα (λ = 1.5418 Å). Structure: a structure optimized by DFT (GGA-PBE).
Neutral-atom scattering factors, no anomalous dispersion.

Structural model:
```
data_Mg3Cd2Hg8
_symmetry_space_group_name_H-M 'P -1'
_symmetry_Int_Tables_number 2
_cell_length_a 5.300
_cell_length_b 7.344
_cell_length_c 8.386
_cell_angle_alpha 76.03
_cell_angle_beta 83.52
_cell_angle_gamma 78.18
loop_
_symmetry_equiv_pos_as_xyz
'x,y,z'
'-x,-y,-z'
loop_
_atom_site_label
_atom_site_type_symbol
_atom_site_fract_x
_atom_site_fract_y
_atom_site_fract_z
Mg1 Mg 0.000 0.000 0.000
Mg2 Mg 0.347 0.343 0.797
Cd1 Cd 0.052 0.779 0.708
Hg1 Hg 0.082 0.780 0.351
Hg2 Hg 0.217 0.565 0.067
Hg3 Hg 0.408 0.315 0.444
Hg4 Hg 0.487 0.076 0.167
```

Peak list (10 most intense, 2θ = 10–90°, in order of rising 2θ)
25.36 deg, I 35
26.40 deg, I 38
29.97 deg, I 70
34.67 deg, I 100
34.85 deg, I 100
37.56 deg, I 87
38.02 deg, I 41
38.55 deg, I 81
40.04 deg, I 51
41.03 deg, I 50

Entry 6:
This entry pairs a crystal structure of MgCd6Hg4 with its theoretical powder diffraction line list. Radiation: Cu Kα (λ = 1.5418 Å). Structure: a structure optimized by DFT (GGA-PBE).
Neutral-atom scattering factors, no anomalous dispersion.

Structural model:
```
data_MgCd6Hg4
_symmetry_space_group_name_H-M 'C m c 21'
_symmetry_Int_Tables_number 36
_cell_length_a 8.474
_cell_length_b 14.676
_cell_length_c 9.857
_cell_angle_alpha 90.00
_cell_angle_beta 90.00
_cell_angle_gamma 90.00
loop_
_symmetry_equiv_pos_as_xyz
'x,y,z'
'-x,-y,z+1/2'
'-x,y,z'
'x,-y,z+1/2'
'x+1/2,y+1/2,z'
'-x+1/2,-y+1/2,z+1/2'
'-x+1/2,y+1/2,z'
'x+1/2,-y+1/2,z+1/2'
loop_
_atom_site_label
_atom_site_type_symbol
_atom_site_fract_x
_atom_site_fract_y
_atom_site_fract_z
Mg1 Mg 0.000 0.166 0.000
Cd1 Cd 0.000 0.030 0.239
Cd2 Cd 0.000 0.288 0.474
Cd3 Cd 0.182 0.106 0.474
Cd4 Cd 0.204 0.235 0.239
Hg1 Hg 0.000 0.167 0.725
Hg2 Hg 0.000 0.370 0.075
Hg3 Hg 0.195 0.435 0.576
```

Peak list (10 most intense, 2θ = 10–90°, in order of rising 2θ)
18.00 deg, I 37
21.72 deg, I 69
25.91 deg, I 66
30.37 deg, I 58
33.56 deg, I 39
36.72 deg, I 35
37.20 deg, I 38
37.90 deg, I 86
42.67 deg, I 100
67.36 deg, I 32

Entry 7:
This entry pairs a crystal structure of MgCdHg5 with its theoretical powder diffraction line list. Radiation: Cu Kα (λ = 1.5418 Å). Structure: a structure optimized by DFT (GGA-PBE).
Neutral-atom scattering factors, no anomalous dispersion.

Structural model:
```
data_MgCdHg5
_symmetry_space_group_name_H-M 'C 1 2/c 1'
_symmetry_Int_Tables_number 15
_cell_length_a 10.891
_cell_length_b 12.945
_cell_length_c 6.434
_cell_angle_alpha 90.00
_cell_angle_beta 125.79
_cell_angle_gamma 90.00
loop_
_symmetry_equiv_pos_as_xyz
'x,y,z'
'-x,-y,-z'
'-x,y,-z+1/2'
'x,-y,z+1/2'
'x+1/2,y+1/2,z'
'-x+1/2,-y+1/2,-z'
'-x+1/2,y+1/2,-z+1/2'
'x+1/2,-y+1/2,z+1/2'
loop_
_atom_site_label
_atom_site_type_symbol
_atom_site_fract_x
_atom_site_fract_y
_atom_site_fract_z
Mg1 Mg 0.000 0.006 0.250
Cd1 Cd 0.000 0.500 0.000
Hg1 Hg 0.000 0.297 0.250
Hg2 Hg 0.203 0.136 0.716
Hg3 Hg 0.206 0.135 0.192
```

Peak list (10 most intense, 2θ = 10–90°, in order of rising 2θ)
27.56 deg, I 26
27.73 deg, I 38
31.15 deg, I 37
34.35 deg, I 100
34.61 deg, I 28
36.20 deg, I 32
36.95 deg, I 26
39.50 deg, I 37
44.60 deg, I 20
44.80 deg, I 20

Entry 8:
This entry pairs a crystal structure of Mg8CdHg3 with its theoretical powder diffraction line list. Radiation: Cu Kα (λ = 1.5418 Å). Structure: a structure optimized by DFT (GGA-PBE).
Neutral-atom scattering factors, no anomalous dispersion.

Structural model:
```
data_Mg8CdHg3
_symmetry_space_group_name_H-M 'F m m m'
_symmetry_Int_Tables_number 69
_symmetry_space_group_name_Hall '-F 2 2'
_cell_length_a 9.391
_cell_length_b 9.634
_cell_length_c 13.208
_cell_angle_alpha 90.00
_cell_angle_beta 90.00
_cell_angle_gamma 90.00
loop_
_atom_site_label
_atom_site_type_symbol
_atom_site_fract_x
_atom_site_fract_y
_atom_site_fract_z
Mg1 Mg 0.000 0.248 0.124
Mg2 Mg 0.248 0.000 0.128
Cd1 Cd 0.000 0.000 0.500
Hg1 Hg 0.000 0.000 0.000
Hg2 Hg 0.250 0.250 0.250
```

Peak list (10 most intense, 2θ = 10–90°, in order of rising 2θ)
22.85 deg, I 100
23.24 deg, I 99
26.51 deg, I 35
37.34 deg, I 24
38.20 deg, I 91
38.34 deg, I 23
44.45 deg, I 37
45.10 deg, I 34
45.29 deg, I 18
60.81 deg, I 22

Entry 9:
This entry pairs a crystal structure of MgCd12Hg7 with its theoretical powder diffraction line list. Radiation: Cu Kα (λ = 1.5418 Å). Structure: a structure optimized by DFT (GGA-PBE).
Neutral-atom scattering factors, no anomalous dispersion.

Structural model:
```
data_MgCd12Hg7
_symmetry_space_group_name_H-M 'R -3 m'
_symmetry_Int_Tables_number 166
_symmetry_space_group_name_Hall '-R 3 2"'
_cell_length_a 12.5031
_cell_length_b 12.5031
_cell_length_c 10.4917
_cell_angle_alpha 90.00
_cell_angle_beta 90.00
_cell_angle_gamma 120.00
loop_
_atom_site_label
_atom_site_type_symbol
_atom_site_fract_x
_atom_site_fract_y
_atom_site_fract_z
Mg1 Mg 0.0000 0.0000 0.0000
Cd1 Cd 0.0000 0.2694 0.0000
Cd2 Cd 0.0545 0.5272 0.1257
Hg1 Hg 0.0000 0.0000 0.5000
Hg2 Hg 0.0860 0.1720 0.7703
```

Peak list (10 most intense, 2θ = 10–90°, in order of rising 2θ)
30.97 deg, I 56
34.21 deg, I 95
34.41 deg, I 100
35.21 deg, I 55
35.75 deg, I 83
37.38 deg, I 30
58.66 deg, I 28
59.11 deg, I 28
62.61 deg, I 27
63.12 deg, I 31

Entry 10:
This entry pairs a crystal structure of Mg2CdHg5 with its theoretical powder diffraction line list. Radiation: Cu Kα (λ = 1.5418 Å). Structure: a structure optimized by DFT (GGA-PBE).
Neutral-atom scattering factors, no anomalous dispersion.

Structural model:
```
data_Mg2CdHg5
_symmetry_space_group_name_H-M 'P 1'
_symmetry_Int_Tables_number 1
_cell_length_a 5.558
_cell_length_b 5.981
_cell_length_c 6.028
_cell_angle_alpha 78.93
_cell_angle_beta 87.94
_cell_angle_gamma 73.20
loop_
_symmetry_equiv_pos_as_xyz
'x,y,z'
loop_
_atom_site_label
_atom_site_type_symbol
_atom_site_fract_x
_atom_site_fract_y
_atom_site_fract_z
Mg1 Mg 0.000 0.000 0.000
Mg2 Mg 0.143 0.393 0.434
Cd1 Cd 0.536 0.910 0.291
Hg1 Hg 0.035 0.904 0.507
Hg2 Hg 0.107 0.493 0.929
Hg3 Hg 0.499 0.963 0.794
Hg4 Hg 0.617 0.412 0.179
Hg5 Hg 0.646 0.438 0.665
```

Peak list (10 most intense, 2θ = 10–90°, in order of rising 2θ)
26.19 deg, I 34
31.84 deg, I 100
32.85 deg, I 45
33.71 deg, I 70
34.39 deg, I 30
35.02 deg, I 83
37.64 deg, I 43
38.44 deg, I 50
39.38 deg, I 34
39.78 deg, I 53

Entry 11:
This entry pairs a crystal structure of MgCd3Hg5 with its theoretical powder diffraction line list. Radiation: Cu Kα (λ = 1.5418 Å). Structure: a structure optimized by DFT (GGA-PBE).
Neutral-atom scattering factors, no anomalous dispersion.

Structural model:
```
data_MgCd3Hg5
_symmetry_space_group_name_H-M 'I b a m'
_symmetry_Int_Tables_number 72
_symmetry_space_group_name_Hall '-I 2 2c'
_cell_length_a 6.642
_cell_length_b 10.376
_cell_length_c 13.324
_cell_angle_alpha 90.00
_cell_angle_beta 90.00
_cell_angle_gamma 90.00
loop_
_atom_site_label
_atom_site_type_symbol
_atom_site_fract_x
_atom_site_fract_y
_atom_site_fract_z
Mg1 Mg 0.000 0.000 0.250
Cd1 Cd 0.000 0.500 0.250
Cd2 Cd 0.102 0.123 0.000
Hg1 Hg 0.000 0.500 0.000
Hg2 Hg 0.233 0.193 0.355
```

Peak list (10 most intense, 2θ = 10–90°, in order of rising 2θ)
29.11 deg, I 19
29.70 deg, I 56
31.97 deg, I 100
37.84 deg, I 19
38.26 deg, I 48
42.60 deg, I 29
45.04 deg, I 13
55.33 deg, I 13
62.08 deg, I 12
79.28 deg, I 13

Entry 12:
This entry pairs a crystal structure of Mg4Cd2Hg3 with its theoretical powder diffraction line list. Radiation: Cu Kα (λ = 1.5418 Å). Structure: a structure optimized by DFT (GGA-PBE).
Neutral-atom scattering factors, no anomalous dispersion.

Structural model:
```
data_Mg4Cd2Hg3
_symmetry_space_group_name_H-M 'C 1 2/m 1'
_symmetry_Int_Tables_number 12
_cell_length_a 9.497
_cell_length_b 4.520
_cell_length_c 9.463
_cell_angle_alpha 90.00
_cell_angle_beta 104.72
_cell_angle_gamma 90.00
loop_
_symmetry_equiv_pos_as_xyz
'x,y,z'
'-x,-y,-z'
'-x,y,-z'
'x,-y,z'
'x+1/2,y+1/2,z'
'-x+1/2,-y+1/2,-z'
'-x+1/2,y+1/2,-z'
'x+1/2,-y+1/2,z'
loop_
_atom_site_label
_atom_site_type_symbol
_atom_site_fract_x
_atom_site_fract_y
_atom_site_fract_z
Mg1 Mg 0.017 0.000 0.334
Mg2 Mg 0.159 0.500 0.892
Cd1 Cd 0.179 0.500 0.225
Hg1 Hg 0.000 0.000 0.000
Hg2 Hg 0.160 0.500 0.571
```

Peak list (10 most intense, 2θ = 10–90°, in order of rising 2θ)
22.97 deg, I 30
23.72 deg, I 49
24.99 deg, I 36
31.06 deg, I 28
34.76 deg, I 100
35.41 deg, I 97
39.39 deg, I 38
39.89 deg, I 36
42.85 deg, I 26
57.31 deg, I 28